This entry pairs a crystal structure of AlAu with its computed powder diffractogram. Radiation: Cu Ka. Structure: a DFT-relaxed cell (PBE, Alexandria).
Intensities are scaled so that the largest is 100.

Structural model:
Cell lengths 3.2024, 4.7757, 4.4933 Å; angles 90.00, 90.00, 90.00 degrees
Fractional positions:
1 Al 0.2500 0.2500 0.1179
2 Al 0.7500 0.7500 0.8821
3 Au 0.2500 0.7500 0.3526
4 Au 0.7500 0.2500 0.6474

The 12 most intense peaks (10° ≤ 2θ ≤ 90°), low angle first:
d/Å	I/Imax
4.493	52
3.273	100
2.660	88
2.608	89
2.388	56
2.289	76
2.033	66
1.839	28
1.761	56
1.457	26
1.305	28
1.258	28


This entry pairs a crystal structure of Al6Au23 with its computed powder diffractogram. Radiation: Cu Ka. Structure: a DFT-relaxed cell (PBE, Alexandria).
Intensities are scaled so that the largest is 100.

Structural model:
Cell lengths 9.0883, 9.0883, 9.0883 Å; angles 60.00, 60.00, 60.00 degrees
Fractional positions:
1 Al 0.2194 0.2194 0.7806
2 Al 0.2194 0.7806 0.2194
3 Al 0.2194 0.7806 0.7806
4 Al 0.7806 0.2194 0.2194
5 Al 0.7806 0.2194 0.7806
6 Al 0.7806 0.7806 0.2194
7 Au 0.1259 0.1259 0.1259
8 Au 0.1259 0.1259 0.6224
9 Au 0.1259 0.6224 0.1259
10 Au 0.1584 0.5000 0.5000
11 Au 0.1584 0.5000 0.8416
12 Au 0.1584 0.8416 0.5000
13 Au 0.2500 0.2500 0.2500
14 Au 0.3776 0.8741 0.8741
15 Au 0.5000 0.1584 0.5000
16 Au 0.5000 0.1584 0.8416
17 Au 0.5000 0.5000 0.1584
18 Au 0.5000 0.5000 0.5000
19 Au 0.5000 0.5000 0.8416
20 Au 0.5000 0.8416 0.1584
21 Au 0.5000 0.8416 0.5000
22 Au 0.6224 0.1259 0.1259
23 Au 0.7500 0.7500 0.7500
24 Au 0.8416 0.1584 0.5000
25 Au 0.8416 0.5000 0.1584
26 Au 0.8416 0.5000 0.5000
27 Au 0.8741 0.3776 0.8741
28 Au 0.8741 0.8741 0.3776
29 Au 0.8741 0.8741 0.8741

The 12 most intense peaks (10° ≤ 2θ ≤ 90°), low angle first:
d/Å	I/Imax
2.874	15
2.624	28
2.474	100
2.272	24
2.173	27
2.142	18
1.515	26
1.484	16
1.437	8
1.411	9
1.312	21
1.292	10


This entry pairs a crystal structure of Al3Au5 with its computed powder diffractogram. Radiation: Cu Ka. Structure: a DFT-relaxed cell (PBE, Alexandria).
Intensities are scaled so that the largest is 100.

Structural model:
Cell lengths 3.4340, 3.4340, 11.4872 Å; angles 90.00, 90.00, 90.00 degrees
Fractional positions:
1 Al 0.0000 0.0000 0.0000
2 Al 0.5000 0.5000 0.3690
3 Al 0.5000 0.5000 0.6310
4 Au 0.0000 0.0000 0.2596
5 Au 0.0000 0.0000 0.5000
6 Au 0.0000 0.0000 0.7404
7 Au 0.5000 0.5000 0.1194
8 Au 0.5000 0.5000 0.8806

The 12 most intense peaks (10° ≤ 2θ ≤ 90°), low angle first:
d/Å	I/Imax
3.829	9
3.290	53
2.428	68
2.297	9
2.203	100
1.717	24
1.669	13
1.522	12
1.354	43
1.236	15
1.214	8
1.101	11


This entry pairs a crystal structure of AlAu4 with its computed powder diffractogram. Radiation: Cu Ka. Structure: a DFT-relaxed cell (PBE, Alexandria).
Intensities are scaled so that the largest is 100.

Structural model:
Cell lengths 5.5256, 5.5256, 5.5256 Å; angles 94.52, 94.52, 147.40 degrees
Fractional positions:
1 Al 0.0000 0.0000 0.0000
2 Au 0.2231 0.4206 0.6437
3 Au 0.4206 0.7769 0.1975
4 Au 0.5794 0.2231 0.8025
5 Au 0.7769 0.5794 0.3563

The 12 most intense peaks (10° ≤ 2θ ≤ 90°), low angle first:
d/Å	I/Imax
2.866	20
2.652	18
2.372	63
2.277	100
1.677	15
1.569	14
1.551	8
1.350	33
1.298	19
1.286	7
1.271	5
1.139	9


This entry pairs a crystal structure of AlAu2 with its computed powder diffractogram. Radiation: Cu Ka. Structure: a DFT-relaxed cell (PBE, Alexandria).
Intensities are scaled so that the largest is 100.

Structural model:
Cell lengths 4.4916, 4.4916, 2.8777 Å; angles 90.00, 90.00, 90.00 degrees
Fractional positions:
1 Al 0.0000 0.0000 0.0000
2 Au 0.0000 0.5000 0.5000
3 Au 0.5000 0.0000 0.5000

The 12 most intense peaks (10° ≤ 2θ ≤ 90°), low angle first:
d/Å	I/Imax
3.176	100
2.878	39
2.246	52
2.133	89
1.770	39
1.588	18
1.439	6
1.420	19
1.390	18
1.311	15
1.274	35
1.212	15


This entry pairs a crystal structure of Al3Au with its computed powder diffractogram. Radiation: Cu Ka. Structure: a DFT-relaxed cell (PBE, Alexandria).
Intensities are scaled so that the largest is 100.

Structural model:
Cell lengths 3.0031, 3.0031, 8.7308 Å; angles 90.00, 90.00, 120.00 degrees
Fractional positions:
1 Al 0.0000 0.0000 0.0000
2 Al 0.3333 0.6667 0.2540
3 Al 0.3333 0.6667 0.7460
4 Au 0.0000 0.0000 0.5000

The 12 most intense peaks (10° ≤ 2θ ≤ 90°), low angle first:
d/Å	I/Imax
8.731	100
4.365	22
2.601	27
2.493	33
2.234	55
2.183	10
1.939	17
1.672	14
1.502	9
1.270	9
1.246	9
1.237	10


This entry pairs a crystal structure of AlAu with its computed powder diffractogram. Radiation: Cu Ka. Structure: a DFT-relaxed cell (PBE, Alexandria).
Intensities are scaled so that the largest is 100.

Structural model:
Cell lengths 4.4734, 4.4734, 4.4734 Å; angles 40.78, 40.78, 40.78 degrees
Fractional positions:
1 Al 0.0000 0.0000 0.0000
2 Au 0.5000 0.5000 0.5000

The 12 most intense peaks (10° ≤ 2θ ≤ 90°), low angle first:
d/Å	I/Imax
4.096	68
2.636	69
2.471	100
2.048	19
2.028	56
1.817	24
1.558	24
1.471	12
1.457	23
1.335	15
1.318	14
1.240	23


This entry pairs a crystal structure of Al5Au7 with its computed powder diffractogram. Radiation: Cu Ka. Structure: a DFT-relaxed cell (PBE, Alexandria).
Intensities are scaled so that the largest is 100.

Structural model:
Cell lengths 6.8951, 6.8951, 10.8558 Å; angles 121.36, 121.36, 28.45 degrees
Fractional positions:
1 Al 0.0000 0.0000 0.0000
2 Al 0.1468 0.1468 0.4761
3 Al 0.2951 0.2951 0.2569
4 Al 0.7049 0.7049 0.7431
5 Al 0.8532 0.8532 0.5239
6 Au 0.0564 0.0564 0.7810
7 Au 0.3254 0.3254 0.9617
8 Au 0.3517 0.3517 0.7163
9 Au 0.5000 0.5000 0.5000
10 Au 0.6483 0.6483 0.2837
11 Au 0.6746 0.6746 0.0383
12 Au 0.9436 0.9436 0.2190

The 12 most intense peaks (10° ≤ 2θ ≤ 90°), low angle first:
d/Å	I/Imax
3.948	28
3.224	67
2.920	45
2.865	30
2.682	38
2.517	49
2.414	100
2.290	37
2.231	86
2.113	30
1.694	29
1.499	33